# K2Al2H7
Theoretical XRD peak list, CuKα. Input: a DFT-relaxed cell (GGA-PBE, Alexandria).
Intensities are scaled so that the largest is 100.

Top 6 peaks for 10 to 80 degrees two-theta, sorted by position:
| index | two_theta | d [Å] | I (rel.) |
| --- | --- | --- | --- |
| 0 2 1 | 26.98 | 3.305 | 100.0 |
| 2 0 -1 | 28.35 | 3.148 | 45.4 |
| 2 0 1 | 29.64 | 3.014 | 34.8 |
| 2 2 0 | 29.80 | 2.998 | 68.4 |
| 0 0 2 | 37.25 | 2.414 | 17.7 |
| 2 2 -2 | 47.57 | 1.912 | 18.3 |

Cell lengths 8.0007, 9.0685, 4.8325 Å; angles 90.00, 92.54, 90.00 degrees
Space group C2/m (No. 12)
Symmetry-distinct sites (fractional):
K: 0.0000 0.2356 0.0000 x4
Al: 0.2315 0.5000 0.4847 x4
H: 0.0000 0.5000 0.5000 x2
H: 0.1127 0.0000 0.2802 x4
H: 0.2460 0.3533 0.2915 x8